Record 1
Fe3O5F: calculated X-ray diffraction stick pattern (Cu Kα X-rays), based on a DFT-relaxed cell (PBE+U, the Materials Project).
Kinematic intensities with the Lorentz-polarization factor, no thermal factor.

Peak list (10 most intense, 2θ from 10° to 90°, by intensity)
| 2theta | I (rel.) | h k l |
| --- | --- | --- |
| 35.58 | 1000 | 0 1 3 |
| 26.47 | 975 | 1 0 -3 |
| 27.69 | 950 | 1 0 3 |
| 52.87 | 575 | 1 1 -6 |
| 54.25 | 546 | 1 1 6 |
| 68.01 | 386 | 0 1 9 |
| 38.68 | 195 | 2 0 0 |
| 61.80 | 157 | 0 2 0 |
| 54.50 | 152 | 2 0 -6 |
| 57.20 | 152 | 2 0 6 |

Structural model:
a b c (Å): 4.6629 3.0025 13.9704
angles (deg): 90.00 92.54 90.00
Space group P2/m (No. 10)
One atom of each set of equivalent atoms:
Fe (0.0000, 0.0000, 0.0000) [1 per cell]
Fe (0.0183, 0.0000, 0.6607) [2 per cell]
Fe (0.4781, 0.5000, 0.8407) [2 per cell]
Fe (0.5000, 0.5000, 0.5000) [1 per cell]
O (0.1802, 0.5000, 0.3984) [2 per cell]
O (0.1967, 0.5000, 0.7292) [2 per cell]
O (0.1989, 0.5000, 0.0647) [2 per cell]
O (0.2962, 0.0000, 0.8968) [2 per cell]
O (0.3207, 0.0000, 0.5621) [2 per cell]
F (0.3086, 0.0000, 0.2333) [2 per cell]



Record 2
Fe5O3F7: calculated X-ray diffraction stick pattern (Cu Kα X-rays), based on a DFT-relaxed cell (PBE+U, the Materials Project).
Kinematic intensities with the Lorentz-polarization factor, no thermal factor.

Peak list (10 most intense, 2θ from 10° to 90°, by intensity)
| 2theta | I (rel.) | h k l |
| --- | --- | --- |
| 26.34 | 1000 | 0 1 1 |
| 51.53 | 606 | 5 1 2 |
| 33.93 | 551 | 5 0 1 |
| 38.94 | 201 | 5 1 1 |
| 54.22 | 179 | 0 2 2 |
| 65.00 | 112 | 10 1 1 |
| 65.42 | 106 | 5 0 3 |
| 65.62 | 104 | 5 3 0 |
| 58.23 | 92 | 10 0 0 |
| 42.24 | 89 | 0 2 1 |

Structural model:
a b c (Å): 15.8445 4.7766 4.7928
angles (deg): 90.00 90.00 90.00
Space group Pmn2_1 (No. 31)
One atom of each set of equivalent atoms:
Fe (0.0000, 0.2426, 0.0000) [2 per cell]
Fe (0.0954, 0.7713, 0.4613) [4 per cell]
Fe (0.2080, 0.2164, 0.0060) [4 per cell]
O (0.0000, 0.9522, 0.2909) [2 per cell]
O (0.2005, 0.9435, 0.2991) [4 per cell]
F (0.0000, 0.5489, 0.6932) [2 per cell]
F (0.1075, 0.0526, 0.7939) [4 per cell]
F (0.1094, 0.4448, 0.1826) [4 per cell]
F (0.2017, 0.5478, 0.6979) [4 per cell]



Record 3
Fe2O3F: calculated X-ray diffraction stick pattern (Cu Kα X-rays), based on a DFT-relaxed cell (PBE+U, the Materials Project).
Kinematic intensities with the Lorentz-polarization factor, no thermal factor.

Peak list (10 most intense, 2θ from 10° to 90°, by intensity)
| 2theta | I (rel.) | h k l |
| --- | --- | --- |
| 35.45 | 1000 | 0 1 5 |
| 26.28 | 968 | 1 0 -5 |
| 27.48 | 937 | 1 0 5 |
| 52.63 | 286 | 1 1 -10 |
| 53.99 | 281 | 1 1 10 |
| 52.49 | 246 | 2 1 -5 |
| 53.85 | 234 | 2 1 5 |
| 67.71 | 228 | 0 1 15 |
| 61.63 | 190 | 0 2 0 |
| 40.06 | 156 | 1 1 -5 |

Structural model:
a b c (Å): 4.7078 3.0093 23.3959
angles (deg): 90.00 92.51 90.00
Space group Pm (No. 6)
One atom of each set of equivalent atoms:
Fe (0.0000, 0.0000, 0.0000) [1 per cell]
Fe (0.0159, 0.0000, 0.7993) [1 per cell]
Fe (0.0416, 0.0000, 0.5996) [1 per cell]
Fe (0.0798, 0.0000, 0.4021) [1 per cell]
Fe (0.4931, 0.5000, 0.2962) [1 per cell]
Fe (0.5212, 0.5000, 0.0922) [1 per cell]
Fe (0.5408, 0.5000, 0.8931) [1 per cell]
Fe (0.5672, 0.5000, 0.6931) [1 per cell]
Fe (0.5979, 0.5000, 0.4921) [1 per cell]
Fe (0.9753, 0.0000, 0.2009) [1 per cell]
O (0.1680, 0.5000, 0.2377) [1 per cell]
O (0.2108, 0.5000, 0.0354) [1 per cell]
O (0.2278, 0.5000, 0.8333) [1 per cell]
O (0.2459, 0.5000, 0.6341) [1 per cell]
O (0.2733, 0.5000, 0.4365) [1 per cell]
O (0.3412, 0.0000, 0.3381) [1 per cell]
O (0.6730, 0.0000, 0.2604) [1 per cell]
O (0.7106, 0.0000, 0.0591) [1 per cell]
O (0.7224, 0.0000, 0.8566) [1 per cell]
O (0.7390, 0.0000, 0.6556) [1 per cell]
O (0.7772, 0.0000, 0.4561) [1 per cell]
O (0.8069, 0.5000, 0.1599) [1 per cell]
O (0.8319, 0.5000, 0.9569) [1 per cell]
O (0.8471, 0.5000, 0.7555) [1 per cell]
O (0.8826, 0.5000, 0.5563) [1 per cell]
F (0.3127, 0.0000, 0.1372) [1 per cell]
F (0.3304, 0.0000, 0.9351) [1 per cell]
F (0.3499, 0.0000, 0.7333) [1 per cell]
F (0.3886, 0.0000, 0.5339) [1 per cell]
F (0.8540, 0.5000, 0.3581) [1 per cell]



Record 4
Fe3O2F4: calculated X-ray diffraction stick pattern (Cu Kα X-rays), based on a DFT-relaxed cell (PBE+U, the Materials Project).
Kinematic intensities with the Lorentz-polarization factor, no thermal factor.

Peak list (10 most intense, 2θ from 10° to 90°, by intensity)
| 2theta | I (rel.) | h k l |
| --- | --- | --- |
| 26.18 | 1000 | 0 1 1 |
| 34.21 | 520 | 3 0 1 |
| 51.50 | 301 | 3 1 2 |
| 51.61 | 289 | 3 2 1 |
| 39.13 | 202 | 3 1 1 |
| 53.88 | 175 | 0 2 2 |
| 65.75 | 110 | 6 1 1 |
| 65.25 | 107 | 3 0 3 |
| 65.52 | 99 | 3 3 0 |
| 59.11 | 91 | 6 0 0 |

Structural model:
a b c (Å): 9.3769 4.8020 4.8242
angles (deg): 90.00 90.00 90.00
Space group Pmn2_1 (No. 31)
One atom of each set of equivalent atoms:
Fe (0.0000, 0.2320, 0.0000) [2 per cell]
Fe (0.1772, 0.7806, 0.5442) [4 per cell]
O (0.1648, 0.0571, 0.8361) [4 per cell]
F (0.0000, 0.5611, 0.7188) [2 per cell]
F (0.0000, 0.9473, 0.3348) [2 per cell]
F (0.1642, 0.4530, 0.2346) [4 per cell]



Record 5
Fe6OF11: calculated X-ray diffraction stick pattern (Cu Kα X-rays), based on a DFT-relaxed cell (PBE+U, the Materials Project).
Kinematic intensities with the Lorentz-polarization factor, no thermal factor.

Peak list (10 most intense, 2θ from 10° to 90°, by intensity)
| 2theta | I (rel.) | h k l |
| --- | --- | --- |
| 26.20 | 1000 | -1 1 1 |
| 25.92 | 987 | 1 1 1 |
| 33.07 | 867 | 1 1 -2 |
| 50.44 | 504 | 2 2 -1 |
| 50.89 | 329 | 2 0 -3 |
| 50.67 | 329 | 2 -2 1 |
| 33.16 | 288 | 0 0 3 |
| 64.56 | 236 | 0 2 5 |
| 64.37 | 235 | 0 4 1 |
| 38.00 | 223 | 1 0 3 |

Structural model:
a b c (Å): 4.8378 5.8446 8.1125
angles (deg): 87.62 89.51 89.59
Space group P1 (No. 1)
One atom of each set of equivalent atoms:
Fe (0.0000, 0.0000, 0.0000) [1 per cell]
Fe (0.0042, 0.3104, 0.6842) [1 per cell]
Fe (0.0232, 0.6429, 0.3356) [1 per cell]
Fe (0.5139, 0.1481, 0.3408) [1 per cell]
Fe (0.5210, 0.8069, 0.6719) [1 per cell]
Fe (0.5279, 0.4690, 0.0013) [1 per cell]
O (0.8223, 0.2592, 0.9161) [1 per cell]
F (0.2125, 0.3428, 0.4437) [1 per cell]
F (0.2149, 0.6955, 0.0944) [1 per cell]
F (0.2194, 0.9986, 0.7818) [1 per cell]
F (0.3049, 0.1722, 0.1093) [1 per cell]
F (0.3170, 0.5117, 0.7708) [1 per cell]
F (0.3184, 0.8428, 0.4362) [1 per cell]
F (0.7113, 0.4519, 0.2447) [1 per cell]
F (0.7192, 0.1063, 0.5692) [1 per cell]
F (0.7285, 0.7799, 0.9080) [1 per cell]
F (0.8184, 0.6102, 0.5710) [1 per cell]
F (0.8229, 0.9516, 0.2286) [1 per cell]



Record 6
Fe3O5F: calculated X-ray diffraction stick pattern (Cu Kα X-rays), based on a DFT-relaxed cell (PBE+U, the Materials Project).
Kinematic intensities with the Lorentz-polarization factor, no thermal factor.

Peak list (10 most intense, 2θ from 10° to 90°, by intensity)
| 2theta | I (rel.) | h k l |
| --- | --- | --- |
| 26.58 | 1000 | 2 0 -2 |
| 27.82 | 964 | 0 2 0 |
| 54.37 | 560 | 1 3 2 |
| 35.49 | 534 | 1 1 2 |
| 35.60 | 519 | 3 1 0 |
| 52.84 | 300 | 1 1 -4 |
| 53.09 | 296 | 5 1 -2 |
| 68.11 | 254 | 1 3 -4 |
| 68.32 | 197 | 5 3 -2 |
| 38.86 | 197 | 2 2 -2 |

Structural model:
a b c (Å): 8.9936 6.4135 7.3658
angles (deg): 90.00 113.80 90.00
Space group C2/m (No. 12)
One atom of each set of equivalent atoms:
Fe (0.0000, 0.0000, 0.0000) [2 per cell]
Fe (0.0000, 0.0000, 0.5000) [2 per cell]
Fe (0.1576, 0.5000, 0.1808) [4 per cell]
Fe (0.1678, 0.5000, 0.6560) [4 per cell]
O (0.0000, 0.3046, 0.0000) [4 per cell]
O (0.0556, 0.5000, 0.3668) [4 per cell]
O (0.1031, 0.0000, 0.2884) [4 per cell]
O (0.1690, 0.1929, 0.6669) [8 per cell]
F (0.2371, 0.0000, 0.0333) [4 per cell]